Theoretical powder X-ray diffraction pattern of Ti8SiSn2 for copper Kα, from a PBE-relaxed structure.
Kinematic intensities with the Lorentz-polarization factor, no thermal factor.

Cell and atoms:
a b c (Å): 8.1816 8.1816 5.1644
angles (deg): 94.88 94.88 33.65
Fractional positions:
Ti: 0.0426 0.0426 0.2595
Ti: 0.2354 0.2354 0.3386
Ti: 0.3355 0.3355 0.8961
Ti: 0.4157 0.4157 0.4494
Ti: 0.5843 0.5843 0.5506
Ti: 0.6645 0.6645 0.1039
Ti: 0.7646 0.7646 0.6614
Ti: 0.9574 0.9574 0.7405
Si: 0.5000 0.5000 0.0000
Sn: 0.1512 0.1512 0.7948
Sn: 0.8488 0.8488 0.2052

Main lines, in order of rising 2θ (2θ = 10–80°):
| two_theta | I/Imax |
| --- | --- |
| 19.81 | 19 |
| 26.54 | 19 |
| 37.34 | 48 |
| 37.52 | 28 |
| 37.99 | 62 |
| 39.85 | 100 |
| 39.93 | 100 |
| 54.33 | 30 |
| 69.91 | 35 |
| 74.09 | 16 |